[1]
This entry pairs a crystal structure of Ba2NaIn7 with its computed X-ray diffraction stick pattern. Radiation: Cu Kα X-rays. Structure: a structure optimized by DFT (GGA-PBE).
Kinematic intensities with the Lorentz-polarization factor, no thermal factor.

Main lines, most intense first (2θ = 10–90°):
2θ 29.01, I = 100; 2θ 36.23, I = 67; 2θ 27.52, I = 60; 2θ 39.50, I = 40; 2θ 37.99, I = 31; 2θ 54.67, I = 31; 2θ 46.10, I = 30; 2θ 60.81, I = 24; 2θ 52.18, I = 23; 2θ 25.40, I = 18; 2θ 69.76, I = 15; 2θ 66.34, I = 11

Structure:
abc: 4.9582 4.9582 12.8497
angles: 90.00 90.00 90.00
Element x y z (fractional)
Ba1 0.0000 0.5000 0.2386
Ba2 0.5000 0.0000 0.7614
Na1 0.0000 0.0000 0.5000
In1 0.0000 0.0000 0.0000
In2 0.0000 0.5000 0.6381
In3 0.0000 0.5000 0.8636
In4 0.5000 0.0000 0.1364
In5 0.5000 0.0000 0.3619
In6 0.5000 0.5000 0.0000
In7 0.5000 0.5000 0.5000

[2]
This entry pairs a crystal structure of Dy2ScMnS6 with its computed X-ray diffraction stick pattern. Radiation: Cu Kα X-rays. Structure: a structure optimized by DFT (GGA-PBE).
Kinematic intensities with the Lorentz-polarization factor, no thermal factor.

Main lines, most intense first (2θ = 10–90°):
2θ 27.10, I = 100; 2θ 27.31, I = 63; 2θ 21.34, I = 48; 2θ 21.22, I = 47; 2θ 42.21, I = 43; 2θ 39.02, I = 42; 2θ 35.19, I = 35; 2θ 39.35, I = 32; 2θ 19.38, I = 30; 2θ 40.98, I = 28; 2θ 28.41, I = 27; 2θ 34.95, I = 27

Structure:
abc: 6.2841 7.0537 11.0601
angles: 90.00 124.09 90.00
Element x y z (fractional)
Dy1 0.2046 0.1096 0.2475
Dy2 0.2046 0.3904 0.7475
Dy3 0.7954 0.6096 0.2525
Dy4 0.7954 0.8904 0.7525
Sc1 0.5000 0.0000 0.0000
Sc2 0.5000 0.5000 0.5000
Mn1 0.0000 0.0000 0.5000
Mn2 0.0000 0.5000 0.0000
S1 0.1051 0.1792 0.9329
S2 0.1051 0.3208 0.4329
S3 0.2555 0.6734 0.9391
S4 0.2555 0.8266 0.4391
S5 0.3768 0.0378 0.7383
S6 0.3768 0.4622 0.2383
S7 0.6232 0.5378 0.7617
S8 0.6232 0.9622 0.2617
S9 0.7445 0.1734 0.5609
S10 0.7445 0.3266 0.0609
S11 0.8949 0.6792 0.5671
S12 0.8949 0.8208 0.0671

[3]
This entry pairs a crystal structure of Mn3Ru with its computed X-ray diffraction stick pattern. Radiation: Cu Kα X-rays. Structure: a structure optimized by DFT (GGA-PBE).
Kinematic intensities with the Lorentz-polarization factor, no thermal factor.

Main lines, most intense first (2θ = 10–90°):
2θ 46.39, I = 100; 2θ 40.29, I = 28; 2θ 44.93, I = 24; 2θ 10.96, I = 17; 2θ 83.93, I = 16; 2θ 73.25, I = 15; 2θ 61.92, I = 14; 2θ 41.88, I = 6; 2θ 22.03, I = 5; 2θ 33.31, I = 3; 2θ 87.08, I = 3; 2θ 72.16, I = 2

Structure:
abc: 2.5846 2.5846 8.0698
angles: 90.00 90.00 120.00
Element x y z (fractional)
Mn1 0.0000 0.0000 0.0000
Mn2 0.6667 0.3333 0.2411
Mn3 0.6667 0.3333 0.7589
Ru1 0.0000 0.0000 0.5000

[4]
This entry pairs a crystal structure of Ti6AsC2 with its computed X-ray diffraction stick pattern. Radiation: Cu Kα X-rays. Structure: a structure optimized by DFT (GGA-PBE).
Kinematic intensities with the Lorentz-polarization factor, no thermal factor.

Main lines, most intense first (2θ = 10–90°):
2θ 36.97, I = 100; 2θ 43.52, I = 34; 2θ 23.57, I = 24; 2θ 32.55, I = 23; 2θ 53.77, I = 13; 2θ 27.18, I = 13; 2θ 44.27, I = 13; 2θ 43.68, I = 12; 2θ 36.58, I = 12; 2θ 40.79, I = 12; 2θ 75.58, I = 11; 2θ 25.27, I = 11

Structure:
abc: 5.4634 5.4634 7.3741
angles: 114.97 114.97 44.74
Element x y z (fractional)
Ti1 0.0169 0.0169 0.1854
Ti2 0.3120 0.3120 0.9220
Ti3 0.3319 0.3319 0.4175
Ti4 0.6681 0.6681 0.5825
Ti5 0.6880 0.6880 0.0780
Ti6 0.9831 0.9831 0.8146
As1 0.0000 0.0000 0.5000
C1 0.1843 0.1843 0.0930
C2 0.8157 0.8157 0.9070

[5]
This entry pairs a crystal structure of CuNiHRuCSe with its computed X-ray diffraction stick pattern. Radiation: Cu Kα X-rays. Structure: a structure optimized by DFT (GGA-PBE).
Kinematic intensities with the Lorentz-polarization factor, no thermal factor.

Main lines, most intense first (2θ = 10–90°):
2θ 39.65, I = 100; 2θ 44.37, I = 96; 2θ 24.53, I = 78; 2θ 33.53, I = 69; 2θ 47.83, I = 53; 2θ 45.65, I = 50; 2θ 28.25, I = 35; 2θ 32.35, I = 34; 2θ 36.19, I = 33; 2θ 35.78, I = 31; 2θ 38.03, I = 29; 2θ 27.16, I = 28

Structure:
abc: 12.3416 3.8034 3.3492
angles: 90.00 101.39 90.00
Element x y z (fractional)
Cu1 0.0000 0.0000 0.0000
Cu2 0.5000 0.5000 0.0000
Ni1 0.3730 0.0000 0.1365
Ni2 0.8730 0.5000 0.1365
H1 0.1072 0.0000 0.5448
H2 0.6072 0.5000 0.5448
Ru1 0.0916 0.5000 0.5466
Ru2 0.5916 0.0000 0.5466
C1 0.0056 0.5000 0.9683
C2 0.5056 0.0000 0.9683
Se1 0.2623 0.5000 0.1219
Se2 0.7623 0.0000 0.1219

[6]
This entry pairs a crystal structure of TlCrFe2Cl8 with its computed X-ray diffraction stick pattern. Radiation: Cu Kα X-rays. Structure: a structure optimized by DFT (GGA-PBE).
Kinematic intensities with the Lorentz-polarization factor, no thermal factor.

Main lines, most intense first (2θ = 10–90°):
2θ 20.66, I = 100; 2θ 30.27, I = 51; 2θ 28.75, I = 39; 2θ 34.47, I = 35; 2θ 48.13, I = 31; 2θ 46.42, I = 28; 2θ 28.08, I = 26; 2θ 50.93, I = 26; 2θ 35.67, I = 26; 2θ 30.01, I = 22; 2θ 59.17, I = 16; 2θ 16.77, I = 12

Structure:
abc: 10.1846 10.1846 10.1846
angles: 35.51 35.51 35.51
Element x y z (fractional)
Tl1 0.0000 0.0000 0.0000
Cr1 0.5000 0.5000 0.5000
Fe1 0.2383 0.2383 0.2383
Fe2 0.7617 0.7617 0.7617
Cl1 0.1488 0.4382 0.7664
Cl2 0.2336 0.8512 0.5618
Cl3 0.3162 0.3162 0.3162
Cl4 0.4382 0.7664 0.1488
Cl5 0.5618 0.2336 0.8512
Cl6 0.6838 0.6838 0.6838
Cl7 0.7664 0.1488 0.4382
Cl8 0.8512 0.5618 0.2336